This entry pairs a crystal structure of PBr7 with its calculated X-ray diffraction stick pattern. Radiation: Cu Kα (weighted mean of Kα1 and Kα2). Structure: the PBE geometry in Alexandria.
Intensities are scaled so that the largest is 1000.

Cell and atoms:
Unit cell a=10.924 b=8.711 c=14.376 alpha=90.00 beta=90.00 gamma=90.00
Positions (direct):
P 0.126 0.250 0.146
P 0.374 0.750 0.646
P 0.626 0.250 0.354
P 0.874 0.750 0.854
Br 0.060 0.750 0.911
Br 0.070 0.750 0.393
Br 0.118 0.250 0.298
Br 0.159 0.250 0.518
Br 0.220 0.042 0.097
Br 0.220 0.458 0.097
Br 0.230 0.250 0.822
Br 0.270 0.750 0.322
Br 0.280 0.542 0.597
Br 0.280 0.958 0.597
Br 0.341 0.750 0.018
Br 0.382 0.750 0.798
Br 0.430 0.250 0.893
Br 0.440 0.250 0.411
Br 0.560 0.750 0.589
Br 0.570 0.750 0.107
Br 0.618 0.250 0.202
Br 0.659 0.250 0.982
Br 0.720 0.042 0.403
Br 0.720 0.458 0.403
Br 0.730 0.250 0.678
Br 0.770 0.750 0.178
Br 0.780 0.542 0.903
Br 0.780 0.958 0.903
Br 0.841 0.750 0.482
Br 0.882 0.750 0.702
Br 0.930 0.250 0.607
Br 0.940 0.250 0.089

Peak list (10 most intense, 2θ from 10° to 90°, by intensity)
| d/Å | 2theta | I_rel |
| --- | --- | --- |
| 3.526 | 25.3 | 1000 |
| 4.944 | 17.9 | 699 |
| 4.355 | 20.4 | 618 |
| 3.411 | 26.1 | 478 |
| 3.919 | 22.7 | 439 |
| 3.179 | 28.1 | 368 |
| 3.248 | 27.5 | 334 |
| 2.177 | 41.5 | 324 |
| 5.106 | 17.4 | 292 |
| 1.960 | 46.3 | 277 |

This entry pairs a crystal structure of Cs7RbO2 with its calculated X-ray diffraction stick pattern. Radiation: Cu Kα (weighted mean of Kα1 and Kα2). Structure: the PBE geometry in Alexandria.
Intensities are scaled so that the largest is 1000.

Cell and atoms:
Unit cell a=13.217 b=13.217 c=6.036 alpha=90.00 beta=90.00 gamma=141.00
Positions (direct):
Cs 0.000 0.000 0.000
Cs 0.098 0.443 0.000
Cs 0.229 0.771 0.500
Cs 0.443 0.098 0.000
Cs 0.557 0.902 0.000
Cs 0.771 0.229 0.500
Cs 0.902 0.557 0.000
Rb 0.500 0.500 0.500
O 0.246 0.754 0.000
O 0.754 0.246 0.000

Peak list (10 most intense, 2θ from 10° to 90°, by intensity)
| d/Å | 2theta | I_rel |
| --- | --- | --- |
| 3.423 | 26.0 | 1000 |
| 3.020 | 29.6 | 518 |
| 3.562 | 25.0 | 485 |
| 4.272 | 20.8 | 474 |
| 3.600 | 24.7 | 462 |
| 2.313 | 38.9 | 271 |
| 4.154 | 21.4 | 264 |
| 1.946 | 46.7 | 242 |
| 4.336 | 20.5 | 232 |
| 2.544 | 35.3 | 231 |

This entry pairs a crystal structure of Dy9Ho4Hg11 with its calculated X-ray diffraction stick pattern. Radiation: Cu Kα (weighted mean of Kα1 and Kα2). Structure: the PBE geometry in Alexandria.
Intensities are scaled so that the largest is 1000.

Cell and atoms:
Unit cell a=13.707 b=13.707 c=3.547 alpha=90.00 beta=90.00 gamma=109.88
Positions (direct):
Dy 0.000 0.000 0.000
Dy 0.122 0.649 0.000
Dy 0.296 0.475 0.000
Dy 0.351 0.878 0.000
Dy 0.475 0.296 0.000
Dy 0.525 0.704 0.000
Dy 0.649 0.122 0.000
Dy 0.704 0.525 0.000
Dy 0.878 0.351 0.000
Ho 0.075 0.248 0.000
Ho 0.248 0.075 0.000
Ho 0.752 0.925 0.000
Ho 0.925 0.752 0.000
Hg 0.088 0.444 0.500
Hg 0.129 0.871 0.500
Hg 0.274 0.274 0.500
Hg 0.323 0.677 0.500
Hg 0.444 0.088 0.500
Hg 0.500 0.500 0.500
Hg 0.556 0.912 0.500
Hg 0.677 0.323 0.500
Hg 0.726 0.726 0.500
Hg 0.871 0.129 0.500
Hg 0.912 0.556 0.500

Peak list (10 most intense, 2θ from 10° to 90°, by intensity)
| d/Å | 2theta | I_rel |
| --- | --- | --- |
| 2.575 | 34.8 | 1000 |
| 2.635 | 34.0 | 869 |
| 2.711 | 33.0 | 779 |
| 2.739 | 32.7 | 355 |
| 1.484 | 62.6 | 253 |
| 1.481 | 62.7 | 236 |
| 1.542 | 60.0 | 233 |
| 1.773 | 51.5 | 188 |
| 2.342 | 38.4 | 168 |
| 2.802 | 31.9 | 114 |

This entry pairs a crystal structure of Sm5Y3Th with its calculated X-ray diffraction stick pattern. Radiation: Cu Kα (weighted mean of Kα1 and Kα2). Structure: the PBE geometry in Alexandria.
Intensities are scaled so that the largest is 1000.

Cell and atoms:
Unit cell a=11.229 b=11.229 c=11.229 alpha=138.64 beta=138.64 gamma=59.93
Positions (direct):
Sm 0.000 0.000 0.000
Sm 0.074 0.574 0.913
Sm 0.161 0.074 0.500
Sm 0.339 0.839 0.913
Sm 0.426 0.339 0.500
Sm 0.500 0.500 0.000
Sm 0.574 0.661 0.500
Sm 0.661 0.161 0.087
Sm 0.839 0.926 0.500
Sm 0.926 0.426 0.087
Y 0.131 0.369 0.500
Y 0.250 0.250 0.000
Y 0.369 0.869 0.239
Y 0.631 0.131 0.761
Y 0.750 0.750 0.000
Y 0.869 0.631 0.500
Th 0.250 0.750 0.500
Th 0.750 0.250 0.500

Peak list (10 most intense, 2θ from 10° to 90°, by intensity)
| d/Å | 2theta | I_rel |
| --- | --- | --- |
| 3.074 | 29.1 | 1000 |
| 2.804 | 31.9 | 380 |
| 2.431 | 37.0 | 366 |
| 3.112 | 28.7 | 321 |
| 1.837 | 49.6 | 214 |
| 1.666 | 55.1 | 184 |
| 1.984 | 45.7 | 160 |
| 1.582 | 58.3 | 137 |
| 4.859 | 18.3 | 132 |
| 2.621 | 34.2 | 118 |

This entry pairs a crystal structure of Ho4Tm10Zr with its calculated X-ray diffraction stick pattern. Radiation: Cu Kα (weighted mean of Kα1 and Kα2). Structure: the PBE geometry in Alexandria.
Intensities are scaled so that the largest is 1000.

Cell and atoms:
Unit cell a=8.690 b=8.690 c=8.690 alpha=101.10 beta=101.10 gamma=127.94
Positions (direct):
Ho 0.228 0.228 0.457
Ho 0.228 0.772 0.000
Ho 0.772 0.228 0.000
Ho 0.772 0.772 0.543
Tm 0.081 0.288 0.793
Tm 0.250 0.750 0.500
Tm 0.288 0.081 0.793
Tm 0.288 0.496 0.207
Tm 0.496 0.288 0.207
Tm 0.504 0.712 0.793
Tm 0.712 0.504 0.793
Tm 0.712 0.919 0.207
Tm 0.750 0.250 0.500
Tm 0.919 0.712 0.207
Zr 0.000 0.000 0.000

Peak list (10 most intense, 2θ from 10° to 90°, by intensity)
| d/Å | 2theta | I_rel |
| --- | --- | --- |
| 2.761 | 32.4 | 1000 |
| 2.728 | 32.8 | 948 |
| 3.138 | 28.4 | 649 |
| 2.150 | 42.0 | 484 |
| 2.842 | 31.5 | 390 |
| 2.575 | 34.8 | 373 |
| 3.492 | 25.5 | 318 |
| 1.355 | 69.3 | 307 |
| 1.365 | 68.8 | 303 |
| 2.603 | 34.5 | 266 |

This entry pairs a crystal structure of Eu2Ti2O7 with its calculated X-ray diffraction stick pattern. Radiation: Cu Kα (weighted mean of Kα1 and Kα2). Structure: the PBE geometry in Alexandria.
Intensities are scaled so that the largest is 1000.

Cell and atoms:
Unit cell a=7.295 b=7.295 c=7.295 alpha=60.00 beta=60.00 gamma=60.00
Positions (direct):
Eu 0.000 0.000 0.000
Eu 0.000 0.000 0.500
Eu 0.000 0.500 0.000
Eu 0.500 0.000 0.000
Ti 0.000 0.500 0.500
Ti 0.500 0.000 0.500
Ti 0.500 0.500 0.000
Ti 0.500 0.500 0.500
O 0.125 0.125 0.125
O 0.175 0.175 0.575
O 0.175 0.575 0.175
O 0.175 0.575 0.575
O 0.425 0.425 0.825
O 0.425 0.825 0.425
O 0.425 0.825 0.825
O 0.575 0.175 0.175
O 0.575 0.175 0.575
O 0.575 0.575 0.175
O 0.825 0.425 0.425
O 0.825 0.425 0.825
O 0.825 0.825 0.425
O 0.875 0.875 0.875

Peak list (10 most intense, 2θ from 10° to 90°, by intensity)
| d/Å | 2theta | I_rel |
| --- | --- | --- |
| 2.978 | 30.0 | 1000 |
| 1.824 | 50.0 | 469 |
| 1.555 | 59.4 | 413 |
| 2.579 | 34.8 | 296 |
| 5.957 | 14.9 | 261 |
| 2.367 | 38.0 | 215 |
| 1.183 | 81.3 | 167 |
| 3.111 | 28.7 | 158 |
| 1.153 | 83.9 | 138 |
| 1.986 | 45.7 | 104 |